No. 1
The following is a calculated powder diffraction line list of Dy2HoTe3. It was derived from a PBE-relaxed structure, using copper Kα.
Intensities are scaled so that the largest is 100.

Atomic structure:
Lattice parameters (Å, degrees): 8.7984 8.7984 8.7984 48.58 48.58 48.58
Element x y z (fractional)
Dy: 0.1668 0.1668 0.1668
Dy: 0.3332 0.3332 0.3332
Dy: 0.6668 0.6668 0.6668
Dy: 0.8332 0.8332 0.8332
Ho: 0.0000 0.0000 0.0000
Ho: 0.5000 0.5000 0.5000
Te: 0.0841 0.7500 0.4159
Te: 0.2500 0.5841 0.9159
Te: 0.4159 0.0841 0.7500
Te: 0.5841 0.9159 0.2500
Te: 0.7500 0.4159 0.0841
Te: 0.9159 0.2500 0.5841

Top 10 peaks for 5° ≤ 2θ ≤ 70°, low angle first:
Position (°2θ)  Rel. int.
24.60  22
27.20  41
33.91  100
43.05  12
43.30  41
46.94  11
51.89  7
56.10  24
65.76  24
69.82  6

---

No. 2
The following is a calculated powder diffraction line list of CeY2Ho7. It was derived from a PBE-relaxed structure, using copper Kα.
Intensities are scaled so that the largest is 100.

Atomic structure:
Lattice parameters (Å, degrees): 14.6927 14.6927 3.4651 90.00 90.00 154.59
Element x y z (fractional)
Ce: 0.0000 0.0000 0.0000
Y: 0.2920 0.7080 0.5000
Y: 0.7080 0.2920 0.5000
Ho: 0.1489 0.3459 0.5000
Ho: 0.1858 0.8142 0.0000
Ho: 0.3459 0.1489 0.5000
Ho: 0.5000 0.5000 0.5000
Ho: 0.6541 0.8511 0.5000
Ho: 0.8142 0.1858 0.0000
Ho: 0.8511 0.6541 0.5000

Top 10 peaks for 5° ≤ 2θ ≤ 70°, low angle first:
Position (°2θ)  Rel. int.
29.41  50
30.35  82
31.20  83
31.90  53
33.24  100
33.48  96
38.08  34
40.18  40
50.00  37
64.02  30

---

No. 3
The following is a calculated powder diffraction line list of CsRh2Se. It was derived from a PBE-relaxed structure, using copper Kα.
Intensities are scaled so that the largest is 100.

Atomic structure:
Lattice parameters (Å, degrees): 6.7560 6.7560 6.7560 107.59 107.59 113.31
Element x y z (fractional)
Cs: 0.0000 0.0000 0.0000
Cs: 0.7500 0.2500 0.5000
Rh: 0.2818 0.6250 0.1568
Rh: 0.3750 0.5318 0.6568
Rh: 0.4682 0.1250 0.8432
Rh: 0.8750 0.7182 0.3432
Se: 0.2500 0.7500 0.5000
Se: 0.5000 0.5000 0.0000

Top 10 peaks for 5° ≤ 2θ ≤ 70°, low angle first:
Position (°2θ)  Rel. int.
16.30  20
22.28  35
27.73  95
28.78  100
32.95  26
35.57  26
43.35  51
51.19  36
54.50  21
54.69  24

---

No. 4
The following is a calculated powder diffraction line list of La3Pm3Y5. It was derived from a PBE-relaxed structure, using copper Kα.
Intensities are scaled so that the largest is 100.

Atomic structure:
Lattice parameters (Å, degrees): 11.3061 11.3061 3.5029 90.00 90.00 120.00
Element x y z (fractional)
La: 0.0000 0.6054 0.0000
La: 0.3946 0.3946 0.0000
La: 0.6054 0.0000 0.0000
Pm: 0.0000 0.8408 0.5000
Pm: 0.1592 0.1592 0.5000
Pm: 0.8408 0.0000 0.5000
Y: 0.0000 0.3393 0.5000
Y: 0.3333 0.6667 0.5000
Y: 0.3393 0.0000 0.5000
Y: 0.6607 0.6607 0.5000
Y: 0.6667 0.3333 0.5000

Top 10 peaks for 5° ≤ 2θ ≤ 70°, low angle first:
Position (°2θ)  Rel. int.
9.03  35
24.05  30
27.04  30
27.33  56
30.01  80
32.98  100
35.28  80
41.03  81
48.12  42
63.17  30

---

No. 5
The following is a calculated powder diffraction line list of Th3Mg2Fe. It was derived from a PBE-relaxed structure, using copper Kα.
Intensities are scaled so that the largest is 100.

Atomic structure:
Lattice parameters (Å, degrees): 9.0644 9.0644 3.6343 90.00 90.00 146.83
Element x y z (fractional)
Th: 0.0000 0.0000 0.0000
Th: 0.3817 0.6183 0.5000
Th: 0.6183 0.3817 0.5000
Mg: 0.2045 0.7955 0.0000
Mg: 0.7955 0.2045 0.0000
Fe: 0.5000 0.5000 0.0000

Top 10 peaks for 5° ≤ 2θ ≤ 70°, low angle first:
Position (°2θ)  Rel. int.
10.18  90
23.05  60
30.49  100
31.00  65
32.11  95
34.67  43
39.83  20
47.97  63
56.86  26
60.18  22

---

No. 6
The following is a calculated powder diffraction line list of Ti7Ga3H2. It was derived from a PBE-relaxed structure, using copper Kα.
Intensities are scaled so that the largest is 100.

Atomic structure:
Lattice parameters (Å, degrees): 10.4505 10.4505 3.9580 90.00 90.00 157.63
Element x y z (fractional)
Ti: 0.0000 0.0000 0.0000
Ti: 0.0969 0.9031 0.5000
Ti: 0.2024 0.7976 0.0000
Ti: 0.3963 0.6037 0.0000
Ti: 0.6037 0.3963 0.0000
Ti: 0.7976 0.2024 0.0000
Ti: 0.9031 0.0969 0.5000
Ga: 0.3025 0.6975 0.5000
Ga: 0.5000 0.5000 0.5000
Ga: 0.6975 0.3025 0.5000
H: 0.1006 0.8994 0.0000
H: 0.8994 0.1006 0.0000

Top 10 peaks for 5° ≤ 2θ ≤ 70°, low angle first:
Position (°2θ)  Rel. int.
22.46  2
31.02  2
31.90  1
38.64  100
44.17  17
44.71  16
45.85  15
64.66  10
65.56  9
65.97  9

---

No. 7
The following is a calculated powder diffraction line list of Li3B4C4. It was derived from a PBE-relaxed structure, using copper Kα.
Intensities are scaled so that the largest is 100.

Atomic structure:
Lattice parameters (Å, degrees): 2.7285 14.2666 4.7227 90.00 90.00 90.00
Element x y z (fractional)
Li: 0.0000 0.1263 0.0000
Li: 0.0000 0.3733 0.0104
Li: 0.0000 0.8735 0.0009
Li: 0.5000 0.1265 0.5009
Li: 0.5000 0.6267 0.5104
Li: 0.5000 0.8737 0.5000
B: 0.0000 0.0001 0.3334
B: 0.0000 0.2507 0.6652
B: 0.0000 0.4956 0.3624
B: 0.0000 0.7529 0.6700
B: 0.5000 0.9999 0.8334
B: 0.5000 0.2471 0.1700
B: 0.5000 0.5044 0.8624
B: 0.5000 0.7493 0.1652
C: 0.0000 0.0000 0.6651
C: 0.0000 0.2447 0.3347
C: 0.0000 0.5037 0.6914
C: 0.0000 0.7516 0.3354
C: 0.5000 0.0000 0.1651
C: 0.5000 0.2484 0.8354
C: 0.5000 0.4963 0.1914
C: 0.5000 0.7553 0.8347

Top 10 peaks for 5° ≤ 2θ ≤ 70°, low angle first:
Position (°2θ)  Rel. int.
6.20  14
18.66  2
22.58  1
24.97  100
38.09  9
40.21  2
46.09  54
51.23  17
68.82  6
68.86  12

---

No. 8
The following is a calculated powder diffraction line list of BaNa2ThS4. It was derived from a PBE-relaxed structure, using copper Kα.
Intensities are scaled so that the largest is 100.

Atomic structure:
Lattice parameters (Å, degrees): 7.1557 4.2844 7.6310 90.00 111.18 90.00
Element x y z (fractional)
Ba: 0.0000 0.0000 0.0000
Na: 0.5000 0.0000 0.5000
Na: 0.5000 0.5000 0.0000
Th: 0.0000 0.5000 0.5000
S: 0.2337 0.0000 0.7229
S: 0.2371 0.5000 0.2853
S: 0.7629 0.5000 0.7147
S: 0.7663 0.0000 0.2771

Top 10 peaks for 5° ≤ 2θ ≤ 70°, low angle first:
Position (°2θ)  Rel. int.
13.27  100
23.71  22
24.25  48
25.03  19
25.42  32
29.35  44
29.89  86
32.74  20
41.28  32
43.47  41